Record 1
Structure and theoretical powder X-ray diffraction pattern of YCuGe2Ru (a cell relaxed with GGA-PBE; λ = 1.5418 Å (Cu Kα)).
Peak positions follow from Bragg's law for the DFT cell and can differ from measured ones.

Atomic structure:
Cell lengths 4.0850, 4.0850, 10.5041 Å; angles 90.00, 90.00, 90.00 degrees
Positions (direct):
Y  0.0000  0.0000  0.0000
Y  0.5000  0.5000  0.5000
Cu  0.0000  0.5000  0.7500
Cu  0.5000  0.0000  0.2500
Ge  0.0000  0.0000  0.3798
Ge  0.0000  0.0000  0.6202
Ge  0.5000  0.5000  0.1202
Ge  0.5000  0.5000  0.8798
Ru  0.0000  0.5000  0.2500
Ru  0.5000  0.0000  0.7500

Most intense lines, 2θ = 10–80°, sorted by position:
33.7 deg, rel. 56
35.5 deg, rel. 100
44.4 deg, rel. 61
46.8 deg, rel. 33
48.7 deg, rel. 25
56.8 deg, rel. 24

---

Record 2
Structure and theoretical powder X-ray diffraction pattern of Cu2Ge2S5 (a cell relaxed with GGA-PBE; λ = 1.5418 Å (Cu Kα)).
Peak positions follow from Bragg's law for the DFT cell and can differ from measured ones.

Atomic structure:
Cell lengths 10.0556, 10.0556, 6.3367 Å; angles 93.09, 93.09, 21.73 degrees
Positions (direct):
Cu  0.1378  0.1378  0.0632
Cu  0.8622  0.8622  0.9368
Ge  0.3884  0.3884  0.4342
Ge  0.6116  0.6116  0.5658
S  0.1590  0.1590  0.4078
S  0.3484  0.3484  0.1011
S  0.5000  0.5000  0.5000
S  0.6516  0.6516  0.8989
S  0.8410  0.8410  0.5922

Most intense lines, 2θ = 10–80°, sorted by position:
18.0 deg, rel. 100
27.7 deg, rel. 56
28.2 deg, rel. 23
35.3 deg, rel. 30
48.0 deg, rel. 24
49.5 deg, rel. 35